# 1
# Ac5LaGe3
Computed X-ray powder pattern, Cu Kα, 1.54184 Å. Input: the GGA-PBE geometry in Alexandria.

Structure:
a b c (Å): 13.3924 10.2911 11.3196
angles (deg): 90.00 109.39 90.00
Space group C2/m (No. 12)
Unique sites:
1 Ac 0.0000 0.1974 0.0000 x4
2 Ac 0.0242 0.0000 0.3321 x4
3 Ac 0.1831 0.3043 0.6381 x8
4 Ac 0.2434 0.5000 0.0638 x4
5 La 0.0628 0.5000 0.2781 x4
6 Ge 0.0000 0.5000 0.0000 x2
7 Ge 0.0000 0.5000 0.5000 x2
8 Ge 0.1742 0.0000 0.1644 x4
9 Ge 0.2022 0.0000 0.5928 x4

Main lines, in order of falling intensity (15 to 90 degrees two-theta):
two_theta	I_rel
25.42	100
28.28	62
24.90	55
27.51	44
25.02	43
26.64	35
41.57	27
33.06	25
37.60	23
43.15	22

***

# 2
# Ac3LaGe3
Computed X-ray powder pattern, Cu Kα, 1.54184 Å. Input: the GGA-PBE geometry in Alexandria.

Structure:
a b c (Å): 10.7704 10.7704 6.7245
angles (deg): 90.00 90.00 120.00
Space group R3m (No. 160, hexagonal axes)
Unique sites:
1 Ac 0.0475 0.5238 0.0000 x9
2 La 0.0000 0.0000 0.9111 x3
3 Ge 0.0055 0.5027 0.4771 x9

Main lines, in order of falling intensity (15 to 90 degrees two-theta):
two_theta	I_rel
32.84	100
33.27	88
23.21	71
28.59	35
28.71	32
50.56	28
47.45	24
62.12	24
44.47	22
28.21	21

***

# 3
# AcLaGeN
Computed X-ray powder pattern, Cu Kα, 1.54184 Å. Input: the GGA-PBE geometry in Alexandria.

Structure:
a b c (Å): 4.8092 4.8092 9.3227
angles (deg): 90.00 90.00 90.00
Space group P4/nmm (No. 129, origin choice 2)
Unique sites:
1 Ac 0.2500 0.2500 0.1587 x2
2 La 0.2500 0.7500 0.5000 x2
3 Ge 0.2500 0.2500 0.7917 x2
4 N 0.2500 0.2500 0.4163 x2

Main lines, in order of falling intensity (15 to 90 degrees two-theta):
two_theta	I_rel
27.93	100
32.59	79
37.40	67
28.73	56
47.83	56
20.78	41
26.63	36
62.24	26
26.21	25
53.92	23